Record 1
The following is a computed PXRD pattern of Ba3Ge2O6. It was derived from the GGA-PBE geometry in Alexandria, using Cu Kα (weighted mean of Kα1 and Kα2).
Intensities are scaled so that the largest is 100.

Top 8 peaks for 2θ = 5–70°, by angle:
| d/Å | I/Imax |
| --- | --- |
| 4.093 | 12 |
| 2.975 | 100 |
| 2.950 | 59 |
| 2.265 | 23 |
| 2.086 | 34 |
| 1.722 | 11 |
| 1.708 | 39 |
| 1.487 | 11 |

Atomic structure:
Unit cell a=11.009 b=11.009 c=11.009 alpha=158.15 beta=158.15 gamma=31.09
Fractional positions:
Ba: 0.000 0.000 0.000
Ba: 0.181 0.181 0.000
Ba: 0.819 0.819 0.000
Ge: 0.398 0.398 0.000
Ge: 0.602 0.602 0.000
O: 0.090 0.590 0.500
O: 0.310 0.310 0.000
O: 0.410 0.910 0.500
O: 0.590 0.090 0.500
O: 0.690 0.690 0.000
O: 0.910 0.410 0.500

=====

Record 2
The following is a computed PXRD pattern of Ba2GeO4. It was derived from the GGA-PBE geometry in Alexandria, using Cu Kα (weighted mean of Kα1 and Kα2).
Intensities are scaled so that the largest is 100.

Top 8 peaks for 2θ = 5–70°, by angle:
| d/Å | I/Imax |
| --- | --- |
| 3.621 | 27 |
| 3.484 | 29 |
| 3.261 | 31 |
| 3.140 | 53 |
| 3.119 | 100 |
| 3.093 | 40 |
| 3.060 | 77 |
| 2.990 | 48 |

Atomic structure:
Unit cell a=6.128 b=7.709 c=11.962 alpha=90.00 beta=117.92 gamma=90.00
Fractional positions:
Ba: 0.032 0.003 0.302
Ba: 0.032 0.497 0.802
Ba: 0.314 0.659 0.577
Ba: 0.314 0.841 0.077
Ba: 0.686 0.159 0.923
Ba: 0.686 0.341 0.423
Ba: 0.968 0.503 0.198
Ba: 0.968 0.997 0.698
Ge: 0.338 0.221 0.582
Ge: 0.338 0.279 0.082
Ge: 0.662 0.721 0.918
Ge: 0.662 0.779 0.418
O: 0.146 0.179 0.139
O: 0.146 0.321 0.639
O: 0.246 0.180 0.930
O: 0.246 0.320 0.430
O: 0.288 0.506 0.069
O: 0.288 0.994 0.569
O: 0.344 0.733 0.318
O: 0.344 0.767 0.818
O: 0.656 0.233 0.182
O: 0.656 0.267 0.682
O: 0.712 0.006 0.431
O: 0.712 0.494 0.931
O: 0.754 0.680 0.570
O: 0.754 0.820 0.070
O: 0.854 0.679 0.361
O: 0.854 0.821 0.861

=====

Record 3
The following is a computed PXRD pattern of Ba3GeO4. It was derived from the GGA-PBE geometry in Alexandria, using Cu Kα (weighted mean of Kα1 and Kα2).
Intensities are scaled so that the largest is 100.

Top 8 peaks for 2θ = 5–70°, by angle:
| d/Å | I/Imax |
| --- | --- |
| 3.208 | 100 |
| 2.882 | 32 |
| 2.730 | 50 |
| 1.982 | 38 |
| 1.931 | 16 |
| 1.720 | 18 |
| 1.654 | 32 |
| 1.604 | 17 |

Atomic structure:
Unit cell a=11.527 b=5.457 c=5.464 alpha=90.00 beta=90.00 gamma=90.00
Fractional positions:
Ba: 0.000 0.249 0.000
Ba: 0.250 0.252 0.499
Ba: 0.250 0.748 0.999
Ba: 0.500 0.751 0.500
Ba: 0.750 0.252 0.499
Ba: 0.750 0.748 0.999
Ge: 0.000 0.722 0.529
Ge: 0.500 0.278 0.029
O: 0.000 0.389 0.494
O: 0.000 0.755 0.862
O: 0.227 0.251 0.009
O: 0.273 0.749 0.509
O: 0.500 0.245 0.362
O: 0.500 0.611 0.994
O: 0.727 0.749 0.509
O: 0.773 0.251 0.009

=====

Record 4
The following is a computed PXRD pattern of Ba2GeO4. It was derived from the GGA-PBE geometry in Alexandria, using Cu Kα (weighted mean of Kα1 and Kα2).
Intensities are scaled so that the largest is 100.

Top 8 peaks for 2θ = 5–70°, by angle:
| d/Å | I/Imax |
| --- | --- |
| 3.556 | 36 |
| 3.259 | 25 |
| 3.113 | 100 |
| 3.078 | 57 |
| 3.060 | 85 |
| 2.598 | 18 |
| 2.187 | 26 |
| 1.763 | 24 |

Atomic structure:
Unit cell a=15.367 b=6.155 c=10.580 alpha=90.00 beta=90.00 gamma=90.00
Fractional positions:
Ba: 0.044 0.230 0.000
Ba: 0.122 0.218 0.624
Ba: 0.128 0.730 0.227
Ba: 0.205 0.723 0.847
Ba: 0.295 0.223 0.347
Ba: 0.372 0.230 0.727
Ba: 0.378 0.718 0.124
Ba: 0.456 0.730 0.500
Ba: 0.544 0.270 0.000
Ba: 0.622 0.282 0.624
Ba: 0.628 0.770 0.227
Ba: 0.705 0.777 0.847
Ba: 0.795 0.277 0.347
Ba: 0.872 0.270 0.727
Ba: 0.878 0.782 0.124
Ba: 0.956 0.770 0.500
Ge: 0.016 0.265 0.342
Ge: 0.236 0.734 0.510
Ge: 0.264 0.234 0.010
Ge: 0.484 0.765 0.842
Ge: 0.516 0.235 0.342
Ge: 0.736 0.766 0.510
Ge: 0.764 0.266 0.010
Ge: 0.984 0.735 0.842
O: 0.005 0.964 0.745
O: 0.030 0.494 0.774
O: 0.039 0.778 0.990
O: 0.124 0.797 0.487
O: 0.129 0.309 0.365
O: 0.210 0.171 0.863
O: 0.214 0.480 0.064
O: 0.245 0.022 0.120
O: 0.255 0.522 0.620
O: 0.286 0.980 0.564
O: 0.290 0.671 0.363
O: 0.371 0.809 0.865
O: 0.376 0.297 0.987
O: 0.461 0.278 0.490
O: 0.470 0.994 0.274
O: 0.495 0.464 0.245
O: 0.505 0.536 0.745
O: 0.530 0.006 0.774
O: 0.539 0.722 0.990
O: 0.624 0.703 0.487
O: 0.629 0.191 0.365
O: 0.710 0.329 0.863
O: 0.714 0.020 0.064
O: 0.745 0.478 0.120
O: 0.755 0.978 0.620
O: 0.786 0.520 0.564
O: 0.790 0.829 0.363
O: 0.871 0.691 0.865
O: 0.876 0.203 0.987
O: 0.961 0.222 0.490
O: 0.970 0.506 0.274
O: 0.995 0.036 0.245

=====

Record 5
The following is a computed PXRD pattern of BaPaGeO5. It was derived from the GGA-PBE geometry in Alexandria, using Cu Kα (weighted mean of Kα1 and Kα2).
Intensities are scaled so that the largest is 100.

Top 8 peaks for 2θ = 5–70°, by angle:
| d/Å | I/Imax |
| --- | --- |
| 5.676 | 43 |
| 3.697 | 100 |
| 3.435 | 72 |
| 3.017 | 88 |
| 2.990 | 58 |
| 2.734 | 30 |
| 2.712 | 31 |
| 1.985 | 34 |

Atomic structure:
Unit cell a=6.265 b=6.265 c=8.059 alpha=103.31 beta=103.31 gamma=107.02
Fractional positions:
Ba: 0.164 0.836 0.750
Ba: 0.836 0.164 0.250
Pa: 0.500 0.500 0.000
Pa: 0.500 0.500 0.500
Ge: 0.184 0.816 0.250
Ge: 0.816 0.184 0.750
O: 0.108 0.253 0.899
O: 0.193 0.618 0.381
O: 0.253 0.108 0.399
O: 0.382 0.807 0.119
O: 0.424 0.576 0.750
O: 0.576 0.424 0.250
O: 0.618 0.193 0.881
O: 0.747 0.892 0.601
O: 0.807 0.382 0.619
O: 0.892 0.747 0.101